This entry pairs a crystal structure of Ce4In21Pd10 with its theoretical XRD peak list. Radiation: λ = 1.5418 Å (Cu Kα). Structure: the GGA-PBE geometry in Alexandria.
Intensities are scaled so that the largest is 100.

Structural model:
Cell: 11.9303 11.9303 17.3012 Å, 123.49 123.49 22.18°
Atoms (fractional coordinates):
1 Ce 0.1222 0.1222 0.3316
2 Ce 0.2292 0.2292 0.8270
3 Ce 0.7708 0.7708 0.1730
4 Ce 0.8778 0.8778 0.6684
5 In 0.0104 0.0104 0.0937
6 In 0.0640 0.0640 0.7969
7 In 0.1166 0.1166 0.5536
8 In 0.2008 0.2008 0.0051
9 In 0.2520 0.2520 0.2942
10 In 0.2989 0.2989 0.4995
11 In 0.3695 0.3695 0.8017
12 In 0.3839 0.3839 0.2953
13 In 0.3986 0.3986 0.0027
14 In 0.4569 0.4569 0.6315
15 In 0.5000 0.5000 0.5000
16 In 0.5431 0.5431 0.3685
17 In 0.6014 0.6014 0.9973
18 In 0.6161 0.6161 0.7047
19 In 0.6305 0.6305 0.1983
20 In 0.7011 0.7011 0.5005
21 In 0.7480 0.7480 0.7058
22 In 0.7992 0.7992 0.9949
23 In 0.8834 0.8834 0.4464
24 In 0.9360 0.9360 0.2031
25 In 0.9896 0.9896 0.9063
26 Pd 0.0239 0.0239 0.6105
27 Pd 0.1374 0.1374 0.1075
28 Pd 0.2510 0.2510 0.6158
29 Pd 0.3452 0.3452 0.1119
30 Pd 0.4938 0.4938 0.8129
31 Pd 0.5062 0.5062 0.1871
32 Pd 0.6548 0.6548 0.8881
33 Pd 0.7490 0.7490 0.3842
34 Pd 0.8626 0.8626 0.8925
35 Pd 0.9761 0.9761 0.3895

Top 6 peaks for 10° ≤ 2θ ≤ 90°, sorted by position:
2θ (°)  d_spacing  I/Imax
32.9  2.723  52.9
33.5  2.679  72.0
33.6  2.664  40.0
33.9  2.647  37.8
34.1  2.630  68.8
39.3  2.294  100.0